# 1
Calculated PXRD pattern
Compound: NaHoCd
Radiation: Cu Kα (weighted mean of Kα1 and Kα2)
Structure: DFT lattice parameters and positions (GGA-PBE)

Cell and atoms:
a = 16.781 Å, b = 3.538 Å, c = 5.851 Å
α = 90.00°, β = 90.00°, γ = 90.00°
Space group Amm2 (No. 38)
Unique sites:
Na: 0.160 0.000 0.000 x4
Ho: 0.347 0.000 0.357 x4
Cd: 0.000 0.000 0.348 x2
Cd: 0.500 0.000 0.008 x2

Largest 12 diffraction maxima, in order of rising 2θ, 10 to 90 degrees two-theta:
- 2θ 10.5, rel. 13
- 2θ 15.8, rel. 37
- 2θ 29.5, rel. 33
- 2θ 30.6, rel. 19
- 2θ 32.0, rel. 31
- 2θ 33.7, rel. 100
- 2θ 34.6, rel. 41
- 2θ 44.1, rel. 18
- 2θ 53.7, rel. 16
- 2θ 58.1, rel. 14
- 2θ 63.7, rel. 15
- 2θ 63.9, rel. 16

=====

# 2
Calculated PXRD pattern
Compound: NaCeSb
Radiation: Cu Kα (weighted mean of Kα1 and Kα2)
Structure: DFT lattice parameters and positions (GGA-PBE)

Cell and atoms:
a = 5.0132 Å, b = 5.0132 Å, c = 27.4204 Å
α = 90.00°, β = 90.00°, γ = 120.00°
Space group R-3m (No. 166, hexagonal axes)
Unique sites:
Na: 0.0000 0.0000 0.1341 x6
Ce: 0.0000 0.0000 0.2945 x6
Sb: 0.0000 0.0000 0.4191 x6

Largest 12 diffraction maxima, in order of rising 2θ, 10 to 90 degrees two-theta:
- 2θ 19.4, rel. 14
- 2θ 20.7, rel. 63
- 2θ 30.7, rel. 100
- 2θ 33.3, rel. 22
- 2θ 35.8, rel. 78
- 2θ 38.8, rel. 20
- 2θ 41.8, rel. 17
- 2θ 47.9, rel. 30
- 2θ 51.2, rel. 14
- 2θ 61.3, rel. 37
- 2θ 64.4, rel. 14
- 2θ 84.1, rel. 19

=====

# 3
Calculated PXRD pattern
Compound: Cs2RbRhBr6
Radiation: Cu Kα (weighted mean of Kα1 and Kα2)
Structure: DFT lattice parameters and positions (GGA-PBE)

Cell and atoms:
a = 11.549 Å, b = 11.549 Å, c = 11.549 Å
α = 90.00°, β = 90.00°, γ = 90.00°
Space group Fm-3m (No. 225)
Unique sites:
Cs: 0.250 0.250 0.250 x8
Rb: 0.000 0.000 0.000 x4
Rh: 0.000 0.000 0.500 x4
Br: 0.000 0.000 0.282 x24

Largest 12 diffraction maxima, in order of rising 2θ, 10 to 90 degrees two-theta:
- 2θ 13.3, rel. 18
- 2θ 21.8, rel. 60
- 2θ 26.7, rel. 66
- 2θ 31.0, rel. 100
- 2θ 38.2, rel. 19
- 2θ 40.6, rel. 17
- 2θ 44.4, rel. 65
- 2θ 49.9, rel. 21
- 2θ 52.6, rel. 20
- 2θ 55.1, rel. 20
- 2θ 59.9, rel. 19
- 2θ 73.3, rel. 21